Calculated X-ray powder pattern of Ac8CoIrAu2 for Cu Ka, from a DFT-relaxed cell (PBE, Alexandria).
Kinematic intensities with the Lorentz-polarization factor, no thermal factor.

Cell and atoms:
a b c (Å): 7.2969 8.7045 7.3410
angles (deg): 90.00 90.73 90.00
Space group P2/m (No. 10)
Inequivalent atoms, fractional coordinates:
Ac1 0.1548 0.2450 0.2769 [4 per cell]
Ac2 0.3270 0.0000 0.7246 [2 per cell]
Ac3 0.3354 0.5000 0.7341 [2 per cell]
Co1 0.0000 0.0000 0.5000 [1 per cell]
Ir1 0.0000 0.5000 0.5000 [1 per cell]
Au1 0.5000 0.2449 0.0000 [2 per cell]

The 12 most intense peaks (2θ = 10–90°), by angle:
d = 5.208 Å, 2θ = 17.02°, I 25
d = 3.670 Å, 2θ = 24.25°, I 22
d = 3.340 Å, 2θ = 26.69°, I 47
d = 3.322 Å, 2θ = 26.84°, I 100
d = 3.284 Å, 2θ = 27.16°, I 51
d = 3.251 Å, 2θ = 27.44°, I 26
d = 2.627 Å, 2θ = 34.13°, I 77
d = 2.608 Å, 2θ = 34.39°, I 34
d = 2.571 Å, 2θ = 34.90°, I 29
d = 2.176 Å, 2θ = 41.50°, I 30
d = 2.123 Å, 2θ = 42.58°, I 55
d = 2.041 Å, 2θ = 44.38°, I 22